# Ce3Nd3SmSe8
Calculated powder diffraction line list, Cu Kα (weighted mean of Kα1 and Kα2). Input: the PBE geometry in Alexandria.
Neutral-atom scattering factors, no anomalous dispersion.

Most intense lines, 2θ = 10–90°, sorted by position:
2θ 12.88, I 8
2θ 25.93, I 9
2θ 30.03, I 100
2θ 42.98, I 74
2θ 53.32, I 26
2θ 62.41, I 12
2θ 70.80, I 34
2θ 78.77, I 25

Atomic structure:
Lattice parameters (Å, degrees): 8.419 8.419 8.419 59.97 59.97 59.97
Fractional positions:
1 Ce 0.000 0.500 0.500
2 Ce 0.500 0.000 0.500
3 Ce 0.500 0.500 0.000
4 Nd 0.000 0.000 0.500
5 Nd 0.000 0.500 0.000
6 Nd 0.500 0.000 0.000
7 Sm 0.000 0.000 0.000
8 Se 0.250 0.250 0.749
9 Se 0.250 0.749 0.250
10 Se 0.251 0.251 0.251
11 Se 0.251 0.750 0.750
12 Se 0.749 0.250 0.250
13 Se 0.749 0.749 0.749
14 Se 0.750 0.251 0.750
15 Se 0.750 0.750 0.251